[1]
Calculated XRD peak list of CrNi14As for Cu Kα, from a GGA-PBE-relaxed structure.
No peak broadening, texture or thermal motion is included.

Structure:
abc: 5.0293 5.0293 7.0029
angles: 90.00 90.00 90.00
Space group P4/mmm (No. 123)
Asymmetric unit:
Cr1 0.0000 0.0000 0.0000 (multiplicity 1)
Ni1 0.0000 0.0000 0.5000 (multiplicity 1)
Ni2 0.0000 0.5000 0.0000 (multiplicity 2)
Ni3 0.0000 0.5000 0.5000 (multiplicity 2)
Ni4 0.2483 0.2483 0.2512 (multiplicity 8)
Ni5 0.5000 0.5000 0.5000 (multiplicity 1)
As1 0.5000 0.5000 0.0000 (multiplicity 1)

The 5 most intense peaks (2θ from 10° to 90°), low angle first:
2theta  I_rel  index
44.35  100  2 0 2
51.39  32  2 2 0
52.25  15  0 0 4
75.63  9  4 0 0
76.33  18  2 2 4

---

[2]
Calculated XRD peak list of KBeRhF6 for Cu Kα, from a GGA-PBE-relaxed structure.
No peak broadening, texture or thermal motion is included.

Structure:
abc: 5.0417 5.0417 5.8553
angles: 90.00 90.00 120.00
Space group P312 (No. 149)
Asymmetric unit:
K1 0.0000 0.0000 0.0000 (multiplicity 1)
Be1 0.6667 0.3333 0.5000 (multiplicity 1)
Rh1 0.3333 0.6667 0.5000 (multiplicity 1)
F1 0.3819 0.0337 0.6737 (multiplicity 6)

The 10 most intense peaks (2θ from 10° to 90°), low angle first:
2theta  I_rel  index
15.13  56  0 0 1
20.34  29  1 0 0
25.45  100  1 0 1
36.97  19  1 0 2
38.90  17  2 -1 1
44.28  20  2 0 1
47.60  39  2 -1 2
51.27  14  1 0 3
58.07  20  2 1 1
63.98  18  3 0 0

---

[3]
Calculated XRD peak list of MnAl12Fe for Cu Kα, from a GGA-PBE-relaxed structure.
No peak broadening, texture or thermal motion is included.

Structure:
abc: 8.8002 7.4770 6.4564
angles: 90.00 90.00 90.00
Space group Amm2 (No. 38)
Asymmetric unit:
Mn1 0.0000 0.0000 0.0000 (multiplicity 2)
Al1 0.0000 0.1823 0.6720 (multiplicity 4)
Al2 0.1501 0.0000 0.3171 (multiplicity 4)
Al3 0.2509 0.1755 0.9616 (multiplicity 8)
Al4 0.3493 0.0000 0.6045 (multiplicity 4)
Al5 0.5000 0.1825 0.2480 (multiplicity 4)
Fe1 0.5000 0.0000 0.9190 (multiplicity 2)

The 10 most intense peaks (2θ from 10° to 90°), low angle first:
2theta  I_rel  index
18.15  52  0 1 1
27.27  30  2 1 1
40.11  61  1 3 1
41.02  27  4 0 0
41.60  36  3 0 2
42.31  91  2 2 2
43.77  49  0 1 3
44.05  100  2 3 1
45.03  26  1 1 3
45.20  55  4 1 1

---

[4]
Calculated XRD peak list of Sr2AcRhO5 for Cu Kα, from a GGA-PBE-relaxed structure.
No peak broadening, texture or thermal motion is included.

Structure:
abc: 3.9391 5.8141 11.9927
angles: 90.00 90.00 90.00
Space group Immm (No. 71)
Asymmetric unit:
Sr1 0.0000 0.0000 0.2045 (multiplicity 4)
Ac1 0.0000 0.5000 0.0000 (multiplicity 2)
Rh1 0.0000 0.5000 0.5000 (multiplicity 2)
O1 0.0000 0.0000 0.0000 (multiplicity 2)
O2 0.0000 0.2428 0.3765 (multiplicity 8)

The 10 most intense peaks (2θ from 10° to 90°), low angle first:
2theta  I_rel  index
14.77  27  0 0 2
27.07  18  0 1 3
29.80  16  0 0 4
30.76  25  0 2 0
31.22  100  1 1 2
39.24  13  1 2 1
40.89  13  1 1 4
43.35  22  0 2 4
46.09  14  2 0 0
54.98  21  1 3 2

---

[5]
Calculated XRD peak list of TbY2PuS4 for Cu Kα, from a GGA-PBE-relaxed structure.
No peak broadening, texture or thermal motion is included.

Structure:
abc: 6.8098 3.9161 6.8127
angles: 90.00 109.24 90.00
Space group P2/m (No. 10)
Asymmetric unit:
Tb1 0.0000 0.0000 0.0000 (multiplicity 1)
Y1 0.0000 0.5000 0.5000 (multiplicity 1)
Y2 0.5000 0.0000 0.5000 (multiplicity 1)
Pu1 0.5000 0.5000 0.0000 (multiplicity 1)
S1 0.2485 0.0000 0.7479 (multiplicity 2)
S2 0.2495 0.5000 0.2516 (multiplicity 2)

The 10 most intense peaks (2θ from 10° to 90°), low angle first:
2theta  I_rel  index
13.77  22  0 0 1
26.64  16  2 0 -1
27.74  37  2 0 0
27.88  37  1 1 -1
32.22  100  1 1 1
46.22  48  3 1 -1
57.31  13  4 0 0
57.60  12  2 2 -2
76.72  21  4 2 0
85.85  12  4 2 -4

---

[6]
Calculated XRD peak list of Li4Zn2Pt3 for Cu Kα, from a GGA-PBE-relaxed structure.
No peak broadening, texture or thermal motion is included.

Structure:
abc: 7.2088 12.4884 5.4727
angles: 90.00 90.00 90.00
Space group Cccm (No. 66)
Asymmetric unit:
Li1 0.1602 0.0066 0.0000 (multiplicity 8)
Li2 0.1711 0.3341 0.0000 (multiplicity 8)
Zn1 0.1696 0.3401 0.5000 (multiplicity 8)
Pt1 0.0000 0.1731 0.2500 (multiplicity 8)
Pt2 0.0000 0.5000 0.2500 (multiplicity 4)

The 10 most intense peaks (2θ from 10° to 90°), low angle first:
2theta  I_rel  index
24.70  100  1 3 0
32.73  11  0 0 2
41.43  93  2 0 2
43.48  50  3 3 0
50.65  15  4 0 0
55.47  16  3 3 2
61.62  28  4 0 2
68.92  12  4 6 0
78.41  28  5 3 2
84.80  15  3 3 4